TbIrF: theoretical powder diffractogram (Cu Ka), based on the PBE geometry in Alexandria.
Lines closer than 0.1° are merged.

Largest 10 diffraction maxima, in order of rising 2θ, 2θ = 10–90°:
2theta	d (Å)	I (rel.)
12.52	7.067	100
31.00	2.885	89
34.77	2.580	38
40.36	2.235	36
42.43	2.130	71
43.44	2.083	27
51.74	1.767	18
56.80	1.621	19
63.09	1.474	21
79.02	1.212	17

Lattice parameters (Å, degrees): 4.1667 14.1345 7.5542 90.00 90.00 90.00
Space group Cmce (No. 64)
Inequivalent atoms, fractional coordinates:
Tb  0.0000  0.1308  0.0244 [8 per cell]
Ir  0.0000  0.0135  0.6617 [8 per cell]
F  0.0000  0.2207  0.3931 [8 per cell]

SrAs2O: theoretical powder diffractogram (Cu Ka), based on the PBE geometry in Alexandria.
Lines closer than 0.1° are merged.

Largest 10 diffraction maxima, in order of rising 2θ, 2θ = 10–90°:
2theta	d (Å)	I (rel.)
25.95	3.434	100
27.12	3.288	62
33.64	2.664	17
36.26	2.478	61
37.40	2.404	38
38.36	2.347	72
53.36	1.717	20
55.92	1.644	47
61.98	1.497	18
82.19	1.173	19

Lattice parameters (Å, degrees): 5.3287 5.3287 13.4717 90.00 90.00 90.00
Space group I4_1/amd (No. 141, origin choice 2)
Inequivalent atoms, fractional coordinates:
Sr  0.0000  0.2500  0.3750 [4 per cell]
As  0.0000  0.0000  0.0000 [8 per cell]
O  0.0000  0.2500  0.8750 [4 per cell]

ReNi4Ir2: theoretical powder diffractogram (Cu Ka), based on the PBE geometry in Alexandria.
Lines closer than 0.1° are merged.

Largest 10 diffraction maxima, in order of rising 2θ, 2θ = 10–90°:
2theta	d (Å)	I (rel.)
18.72	4.741	81
36.21	2.481	29
37.95	2.371	35
38.85	2.318	62
39.31	2.292	48
39.42	2.286	47
40.42	2.232	100
43.45	2.083	77
44.47	2.037	45
44.57	2.033	35

Lattice parameters (Å, degrees): 4.5931 4.6388 9.4829 90.06 90.28 118.53
Space group P-1 (No. 2)
Inequivalent atoms, fractional coordinates:
Re  0.0000  0.0000  0.0000 [1 per cell]
Re  0.0000  0.5000  0.5000 [1 per cell]
Ni  0.0791  0.3147  0.7637 [2 per cell]
Ni  0.0796  0.8151  0.7387 [2 per cell]
Ni  0.4269  0.1902  0.1892 [2 per cell]
Ni  0.4275  0.6897  0.3118 [2 per cell]
Ir  0.3212  0.1410  0.4468 [2 per cell]
Ir  0.3250  0.6442  0.0528 [2 per cell]

NdErAl6: theoretical powder diffractogram (Cu Ka), based on the PBE geometry in Alexandria.
Lines closer than 0.1° are merged.

Largest 10 diffraction maxima, in order of rising 2θ, 2θ = 10–90°:
2theta	d (Å)	I (rel.)
16.15	5.487	25
25.07	3.552	100
28.17	3.168	47
32.64	2.743	24
38.06	2.364	97
38.63	2.331	22
48.02	1.895	25
48.49	1.877	22
64.40	1.447	18
72.10	1.310	18

Lattice parameters (Å, degrees): 6.3358 6.3358 4.6612 90.00 90.00 120.00
Space group P-6m2 (No. 187)
Inequivalent atoms, fractional coordinates:
Nd  0.0000  0.0000  0.0000 [1 per cell]
Er  0.6667  0.3333  0.5000 [1 per cell]
Al  0.0412  0.5206  0.0000 [3 per cell]
Al  0.1903  0.3806  0.5000 [3 per cell]

Sm6Ga2Pb: theoretical powder diffractogram (Cu Ka), based on the PBE geometry in Alexandria.
Lines closer than 0.1° are merged.

Largest 10 diffraction maxima, in order of rising 2θ, 2θ = 10–90°:
2theta	d (Å)	I (rel.)
28.64	3.117	21
30.39	2.941	100
31.84	2.811	31
32.73	2.736	17
33.04	2.711	46
33.77	2.654	37
36.45	2.465	33
53.60	1.710	16
57.00	1.616	27
64.79	1.439	12

Lattice parameters (Å, degrees): 9.8547 9.8718 10.9445 90.00 90.00 90.00
Space group Immm (No. 71)
Inequivalent atoms, fractional coordinates:
Sm  0.0000  0.2044  0.2359 [8 per cell]
Sm  0.2031  0.5000  0.1792 [8 per cell]
Sm  0.2172  0.3131  0.5000 [8 per cell]
Ga  0.0000  0.3589  0.0000 [4 per cell]
Ga  0.0000  0.5000  0.3812 [4 per cell]
Pb  0.0000  0.0000  0.0000 [2 per cell]
Pb  0.0000  0.0000  0.5000 [2 per cell]

Pr2TlI6: theoretical powder diffractogram (Cu Ka), based on the PBE geometry in Alexandria.
Lines closer than 0.1° are merged.

Largest 10 diffraction maxima, in order of rising 2θ, 2θ = 10–90°:
2theta	d (Å)	I (rel.)
10.13	8.728	19
13.62	6.500	54
21.52	4.128	20
25.15	3.541	91
30.86	2.897	100
38.71	2.326	26
40.33	2.237	49
51.61	1.771	28
59.15	1.562	19
67.47	1.388	21

Lattice parameters (Å, degrees): 7.7475 7.7475 26.1855 90.00 90.00 120.00
Space group R-3 (No. 148, hexagonal axes)
Inequivalent atoms, fractional coordinates:
Pr  0.0000  0.0000  0.1689 [6 per cell]
Tl  0.0000  0.0000  0.0000 [3 per cell]
I  0.0022  0.6640  0.7618 [18 per cell]

BaHg2BrO2: theoretical powder diffractogram (Cu Ka), based on the PBE geometry in Alexandria.
Lines closer than 0.1° are merged.

Largest 10 diffraction maxima, in order of rising 2θ, 2θ = 10–90°:
2theta	d (Å)	I (rel.)
12.94	6.842	39
18.83	4.711	21
24.81	3.588	100
27.46	3.249	52
31.89	2.806	46
34.27	2.617	19
35.44	2.533	15
39.48	2.283	25
44.46	2.038	24
46.97	1.935	18

Lattice parameters (Å, degrees): 7.3147 6.4972 7.8501 90.00 110.71 90.00
Space group P2_1/m (No. 11)
Inequivalent atoms, fractional coordinates:
Ba  0.2137  0.2500  0.0477 [2 per cell]
Hg  0.0889  0.7500  0.6675 [2 per cell]
Hg  0.2011  0.7500  0.3734 [2 per cell]
Br  0.4923  0.7500  0.2206 [2 per cell]
O  0.0190  0.0056  0.1937 [4 per cell]

Pm5Nd2ErTm: theoretical powder diffractogram (Cu Ka), based on the PBE geometry in Alexandria.
Lines closer than 0.1° are merged.

Largest 10 diffraction maxima, in order of rising 2θ, 2θ = 10–90°:
2theta	d (Å)	I (rel.)
28.27	3.157	39
29.50	3.028	52
29.87	2.992	100
34.82	2.577	10
38.27	2.352	12
38.54	2.336	15
43.28	2.090	12
43.63	2.074	12
52.56	1.741	29
53.25	1.720	13

Lattice parameters (Å, degrees): 8.5656 8.5656 16.7222 90.00 90.00 90.00
Space group I4/mcm (No. 140)
Inequivalent atoms, fractional coordinates:
Pm  0.0000  0.0000  0.0000 [4 per cell]
Pm  0.2185  0.2815  0.1437 [16 per cell]
Nd  0.1220  0.3780  0.5000 [8 per cell]
Er  0.0000  0.5000  0.2500 [4 per cell]
Tm  0.0000  0.0000  0.2500 [4 per cell]